Theoretical X-ray diffraction stick pattern of FeAgCl4 for Cu Ka, from a DFT-relaxed cell (PBE, Alexandria).
Intensities are scaled so that the largest is 100.

Crystal structure
a = 6.225 Å, b = 6.226 Å, c = 10.762 Å
α = 90.00°, β = 90.00°, γ = 90.00°
Space group P222 (No. 16)
Unique sites:
Fe (0.000, 0.000, 0.000) [1 per cell]
Fe (0.500, 0.000, 0.500) [1 per cell]
Ag (0.000, 0.000, 0.500) [1 per cell]
Ag (0.000, 0.500, 0.000) [1 per cell]
Cl (0.210, 0.205, 0.881) [4 per cell]
Cl (0.296, 0.212, 0.382) [4 per cell]

Principal peaks in the range 10 to 90 degrees two-theta, in order of rising 2θ:
- 14.2°, I = 41, hkl 1 0 0
- 16.5°, I = 100, hkl 0 0 2
- 21.8°, I = 28, hkl 1 0 2
- 26.2°, I = 34, hkl 1 1 2
- 33.2°, I = 41, hkl 2 0 2
- 36.3°, I = 20, hkl 1 2 2
- 41.0°, I = 30, hkl 2 2 0
- 44.5°, I = 52, hkl 0 2 4
- 47.0°, I = 14, hkl 3 0 2
- 53.8°, I = 12, hkl 3 2 1